Diffraction record for LiPa2S4N. The X-ray diffraction stick pattern is calculated, not measured: it uses a GGA-PBE-relaxed structure and CuKα.
Intensities are scaled so that the largest is 1000.

Principal peaks in the range 2θ from 10° to 90°, sorted by position:
index	2θ (°)	I/Imax
0 0 1	10.42	1000
2 0 -1	18.13	508
2 0 1	22.56	427
1 1 0	26.54	294
1 1 -1	27.77	521
1 1 2	35.40	316
3 1 -2	39.12	298
3 1 1	40.11	290

Crystal structure
```
data_LiPa2S4N
_cell_length_a 10.4151
_cell_length_b 3.5605
_cell_length_c 8.7470
_cell_angle_alpha 90.00
_cell_angle_beta 104.04
_cell_angle_gamma 90.00
_space_group_name_H-M_alt 'C 1 2/m 1'
_space_group_IT_number 12
_space_group_name_Hall '-C 2y'
loop_
_atom_site_label
_atom_site_type_symbol
_atom_site_fract_x
_atom_site_fract_y
_atom_site_fract_z
_atom_site_occupancy
Li1 Li 0.0000 0.0000 0.0000 1
Pa1 Pa 0.1286 0.0000 0.6518 1
S1 S 0.1113 0.5000 0.8735 1
S2 S 0.1686 0.0000 0.3383 1
N1 N 0.0000 0.5000 0.5000 1
```